[1]
# Li8Mn7FeB8O24
Computed powder X-ray diffraction pattern, λ = 1.5418 Å (Cu Kα). Input: a PBE+U-relaxed structure.

Most intense lines, 2θ = 5–70°, sorted by position:
two_theta, intensity
20.36, 81
20.68, 24
22.04, 35
22.58, 62
33.65, 100
33.94, 31
34.21, 30
34.63, 25
37.87, 21
39.92, 28
40.75, 59
50.63, 19

Cell and atoms:
a b c (Å): 5.989 8.274 10.486
angles (deg): 90.73 90.91 102.86
Space group P1 (No. 1)
Asymmetric unit:
Li (0.000, 0.000, 0.000) (multiplicity 1)
Li (0.002, 0.002, 0.500) (multiplicity 1)
Li (0.088, 0.443, 0.844) (multiplicity 1)
Li (0.090, 0.447, 0.344) (multiplicity 1)
Li (0.497, 0.502, 0.749) (multiplicity 1)
Li (0.501, 0.502, 0.249) (multiplicity 1)
Li (0.585, 0.942, 0.093) (multiplicity 1)
Li (0.588, 0.946, 0.595) (multiplicity 1)
Mn (0.216, 0.140, 0.761) (multiplicity 1)
Mn (0.226, 0.145, 0.259) (multiplicity 1)
Mn (0.363, 0.803, 0.336) (multiplicity 1)
Mn (0.722, 0.643, 0.007) (multiplicity 1)
Mn (0.726, 0.645, 0.510) (multiplicity 1)
Mn (0.861, 0.302, 0.086) (multiplicity 1)
Mn (0.866, 0.303, 0.584) (multiplicity 1)
Fe (0.363, 0.809, 0.834) (multiplicity 1)
B (0.209, 0.627, 0.082) (multiplicity 1)
B (0.212, 0.630, 0.587) (multiplicity 1)
B (0.375, 0.318, 0.008) (multiplicity 1)
B (0.379, 0.319, 0.510) (multiplicity 1)
B (0.709, 0.124, 0.835) (multiplicity 1)
B (0.711, 0.128, 0.335) (multiplicity 1)
B (0.876, 0.818, 0.258) (multiplicity 1)
B (0.878, 0.818, 0.759) (multiplicity 1)
O (0.026, 0.534, 0.009) (multiplicity 1)
O (0.032, 0.538, 0.511) (multiplicity 1)
O (0.058, 0.910, 0.333) (multiplicity 1)
O (0.059, 0.908, 0.835) (multiplicity 1)
O (0.200, 0.205, 0.066) (multiplicity 1)
O (0.205, 0.206, 0.568) (multiplicity 1)
O (0.219, 0.603, 0.717) (multiplicity 1)
O (0.222, 0.602, 0.212) (multiplicity 1)
O (0.368, 0.345, 0.879) (multiplicity 1)
O (0.369, 0.348, 0.380) (multiplicity 1)
O (0.383, 0.738, 0.021) (multiplicity 1)
O (0.387, 0.743, 0.529) (multiplicity 1)
O (0.520, 0.037, 0.762) (multiplicity 1)
O (0.531, 0.037, 0.260) (multiplicity 1)
O (0.557, 0.409, 0.084) (multiplicity 1)
O (0.562, 0.411, 0.584) (multiplicity 1)
O (0.700, 0.706, 0.815) (multiplicity 1)
O (0.702, 0.705, 0.317) (multiplicity 1)
O (0.717, 0.099, 0.964) (multiplicity 1)
O (0.719, 0.099, 0.465) (multiplicity 1)
O (0.866, 0.845, 0.129) (multiplicity 1)
O (0.870, 0.849, 0.630) (multiplicity 1)
O (0.887, 0.242, 0.279) (multiplicity 1)
O (0.890, 0.230, 0.775) (multiplicity 1)

---

[2]
# Li2MnFeB2O6
Computed powder X-ray diffraction pattern, λ = 1.5418 Å (Cu Kα). Input: a PBE+U-relaxed structure.

Most intense lines, 2θ = 5–70°, sorted by position:
two_theta, intensity
20.39, 82
20.73, 24
22.25, 34
22.53, 61
33.68, 100
34.14, 58
34.76, 25
38.11, 24
40.22, 25
40.76, 20
40.90, 34
61.22, 19

Cell and atoms:
a b c (Å): 5.166 5.245 6.002
angles (deg): 91.05 113.20 119.29
Space group P1 (No. 1)
Asymmetric unit:
Li (0.000, 0.000, 0.000) (multiplicity 1)
Li (0.113, 0.247, 0.647) (multiplicity 1)
Mn (0.391, 0.868, 0.557) (multiplicity 1)
Fe (0.714, 0.366, 0.083) (multiplicity 1)
B (0.365, 0.700, 0.062) (multiplicity 1)
B (0.743, 0.542, 0.584) (multiplicity 1)
O (0.171, 0.751, 0.145) (multiplicity 1)
O (0.320, 0.419, 0.026) (multiplicity 1)
O (0.516, 0.313, 0.646) (multiplicity 1)
O (0.595, 0.937, 0.006) (multiplicity 1)
O (0.800, 0.830, 0.622) (multiplicity 1)
O (0.925, 0.483, 0.493) (multiplicity 1)

---

[3]
# Li8Mn7FeB8O24
Computed powder X-ray diffraction pattern, λ = 1.5418 Å (Cu Kα). Input: a PBE+U-relaxed structure.

Most intense lines, 2θ = 5–70°, sorted by position:
two_theta, intensity
20.34, 80
20.67, 23
22.06, 36
22.60, 62
33.70, 100
33.96, 32
34.19, 30
34.59, 25
37.86, 21
39.93, 28
40.73, 59
61.92, 29

Cell and atoms:
a b c (Å): 5.986 9.737 9.843
angles (deg): 64.81 79.73 78.73
Space group P1 (No. 1)
Asymmetric unit:
Li (0.000, 0.000, 0.000) (multiplicity 1)
Li (0.000, 0.497, 0.500) (multiplicity 1)
Li (0.085, 0.430, 0.121) (multiplicity 1)
Li (0.088, 0.930, 0.623) (multiplicity 1)
Li (0.500, 0.998, 0.497) (multiplicity 1)
Li (0.503, 0.496, 0.001) (multiplicity 1)
Li (0.589, 0.431, 0.623) (multiplicity 1)
Li (0.592, 0.934, 0.124) (multiplicity 1)
Mn (0.226, 0.167, 0.687) (multiplicity 1)
Mn (0.226, 0.668, 0.186) (multiplicity 1)
Mn (0.363, 0.761, 0.435) (multiplicity 1)
Mn (0.370, 0.260, 0.936) (multiplicity 1)
Mn (0.725, 0.667, 0.688) (multiplicity 1)
Mn (0.862, 0.260, 0.433) (multiplicity 1)
Mn (0.863, 0.762, 0.935) (multiplicity 1)
Fe (0.723, 0.166, 0.191) (multiplicity 1)
B (0.210, 0.099, 0.272) (multiplicity 1)
B (0.212, 0.598, 0.773) (multiplicity 1)
B (0.376, 0.330, 0.348) (multiplicity 1)
B (0.377, 0.830, 0.850) (multiplicity 1)
B (0.712, 0.099, 0.772) (multiplicity 1)
B (0.712, 0.599, 0.272) (multiplicity 1)
B (0.877, 0.832, 0.350) (multiplicity 1)
B (0.880, 0.328, 0.853) (multiplicity 1)
O (0.022, 0.216, 0.239) (multiplicity 1)
O (0.030, 0.718, 0.744) (multiplicity 1)
O (0.057, 0.711, 0.378) (multiplicity 1)
O (0.064, 0.209, 0.879) (multiplicity 1)
O (0.202, 0.327, 0.463) (multiplicity 1)
O (0.202, 0.831, 0.964) (multiplicity 1)
O (0.217, 0.984, 0.415) (multiplicity 1)
O (0.222, 0.483, 0.916) (multiplicity 1)
O (0.366, 0.446, 0.206) (multiplicity 1)
O (0.370, 0.945, 0.706) (multiplicity 1)
O (0.387, 0.600, 0.657) (multiplicity 1)
O (0.396, 0.105, 0.161) (multiplicity 1)
O (0.531, 0.219, 0.742) (multiplicity 1)
O (0.531, 0.720, 0.243) (multiplicity 1)
O (0.558, 0.210, 0.376) (multiplicity 1)
O (0.558, 0.709, 0.880) (multiplicity 1)
O (0.701, 0.829, 0.465) (multiplicity 1)
O (0.707, 0.324, 0.970) (multiplicity 1)
O (0.719, 0.483, 0.415) (multiplicity 1)
O (0.720, 0.984, 0.916) (multiplicity 1)
O (0.867, 0.444, 0.710) (multiplicity 1)
O (0.869, 0.949, 0.207) (multiplicity 1)
O (0.886, 0.099, 0.657) (multiplicity 1)
O (0.886, 0.599, 0.158) (multiplicity 1)

---

[4]
# Li6Mn5FeB6O18
Computed powder X-ray diffraction pattern, λ = 1.5418 Å (Cu Kα). Input: a PBE+U-relaxed structure.

Most intense lines, 2θ = 5–70°, sorted by position:
two_theta, intensity
21.60, 100
31.10, 16
33.26, 17
35.96, 79
37.85, 19
37.95, 11
38.18, 13
44.29, 14
48.01, 26
53.20, 15
54.85, 16
58.75, 12

Cell and atoms:
a b c (Å): 8.217 6.287 8.223
angles (deg): 90.00 119.84 90.00
Space group Pm (No. 6)
Asymmetric unit:
Li (0.000, 0.247, 0.000) (multiplicity 2)
Li (0.318, 0.248, 0.573) (multiplicity 2)
Li (0.740, 0.250, 0.315) (multiplicity 2)
Mn (0.032, 0.000, 0.669) (multiplicity 1)
Mn (0.032, 0.500, 0.668) (multiplicity 1)
Mn (0.393, 0.000, 0.283) (multiplicity 1)
Mn (0.637, 0.000, 0.930) (multiplicity 1)
Mn (0.641, 0.500, 0.932) (multiplicity 1)
Fe (0.382, 0.500, 0.283) (multiplicity 1)
B (0.016, 0.000, 0.293) (multiplicity 1)
B (0.021, 0.500, 0.295) (multiplicity 1)
B (0.356, 0.249, 0.967) (multiplicity 2)
B (0.685, 0.248, 0.632) (multiplicity 2)
O (0.211, 0.000, 0.403) (multiplicity 1)
O (0.215, 0.500, 0.410) (multiplicity 1)
O (0.244, 0.250, 0.773) (multiplicity 2)
O (0.274, 0.246, 0.081) (multiplicity 2)
O (0.551, 0.251, 0.049) (multiplicity 2)
O (0.576, 0.248, 0.437) (multiplicity 2)
O (0.599, 0.249, 0.740) (multiplicity 2)
O (0.879, 0.250, 0.717) (multiplicity 2)
O (0.906, 0.000, 0.379) (multiplicity 1)
O (0.907, 0.500, 0.377) (multiplicity 1)
O (0.929, 0.000, 0.098) (multiplicity 1)
O (0.940, 0.500, 0.102) (multiplicity 1)

---

[5]
# Li2MnFeB2O6
Computed powder X-ray diffraction pattern, λ = 1.5418 Å (Cu Kα). Input: a PBE+U-relaxed structure.

Most intense lines, 2θ = 5–70°, sorted by position:
two_theta, intensity
20.38, 82
20.73, 24
22.25, 34
22.53, 61
33.73, 100
34.13, 58
34.75, 25
38.10, 24
40.21, 25
40.74, 20
40.88, 34
61.25, 19

Cell and atoms:
a b c (Å): 5.167 5.248 10.969
angles (deg): 76.83 78.83 60.71
Space group P-1 (No. 2)
Asymmetric unit:
Li (0.144, 0.288, 0.089) (multiplicity 2)
Li (0.355, 0.211, 0.412) (multiplicity 2)
Mn (0.468, 0.624, 0.132) (multiplicity 2)
Fe (0.030, 0.887, 0.370) (multiplicity 2)
B (0.192, 0.039, 0.880) (multiplicity 2)
B (0.309, 0.459, 0.619) (multiplicity 2)
O (0.035, 0.975, 0.166) (multiplicity 2)
O (0.050, 0.724, 0.592) (multiplicity 2)
O (0.154, 0.307, 0.899) (multiplicity 2)
O (0.336, 0.195, 0.601) (multiplicity 2)
O (0.449, 0.779, 0.912) (multiplicity 2)
O (0.455, 0.533, 0.339) (multiplicity 2)

---

[6]
# Li4MnFe3B4O12
Computed powder X-ray diffraction pattern, λ = 1.5418 Å (Cu Kα). Input: a PBE+U-relaxed structure.

Most intense lines, 2θ = 5–70°, sorted by position:
two_theta, intensity
20.46, 84
20.76, 25
22.32, 32
22.53, 62
33.73, 100
34.14, 32
34.28, 24
34.89, 27
38.23, 23
40.33, 24
40.96, 52
61.40, 19

Cell and atoms:
a b c (Å): 5.148 6.000 9.139
angles (deg): 75.72 89.71 66.79
Space group P1 (No. 1)
Asymmetric unit:
Li (0.000, 0.000, 0.000) (multiplicity 1)
Li (0.007, 0.648, 0.878) (multiplicity 1)
Li (0.503, 0.995, 0.502) (multiplicity 1)
Li (0.512, 0.643, 0.378) (multiplicity 1)
Mn (0.969, 0.087, 0.312) (multiplicity 1)
Fe (0.044, 0.560, 0.563) (multiplicity 1)
Fe (0.458, 0.090, 0.813) (multiplicity 1)
Fe (0.544, 0.562, 0.061) (multiplicity 1)
B (0.026, 0.583, 0.228) (multiplicity 1)
B (0.485, 0.063, 0.147) (multiplicity 1)
B (0.526, 0.580, 0.729) (multiplicity 1)
B (0.980, 0.061, 0.651) (multiplicity 1)
O (0.121, 0.622, 0.087) (multiplicity 1)
O (0.140, 0.636, 0.348) (multiplicity 1)
O (0.200, 0.146, 0.625) (multiplicity 1)
O (0.306, 0.496, 0.755) (multiplicity 1)
O (0.373, 0.005, 0.030) (multiplicity 1)
O (0.397, 0.021, 0.291) (multiplicity 1)
O (0.621, 0.615, 0.587) (multiplicity 1)
O (0.636, 0.640, 0.846) (multiplicity 1)
O (0.698, 0.153, 0.119) (multiplicity 1)
O (0.807, 0.500, 0.253) (multiplicity 1)
O (0.872, 0.000, 0.535) (multiplicity 1)
O (0.885, 0.028, 0.793) (multiplicity 1)